# 1
# Li3P7
Calculated PXRD pattern, λ = 1.5418 Å (Cu Kα). Input: a crystal structure in the Materials Project, relaxed with PBE.
Peak positions follow from Bragg's law for the DFT cell and can differ from measured ones.

Largest 6 diffraction maxima, low angle first, 15° ≤ 2θ ≤ 90°:
2θ = 16.92°, intensity 100.0, (1 1 1)
2θ = 18.02°, intensity 24.2, (0 2 0)
2θ = 19.02°, intensity 35.2, (0 1 2)
2θ = 30.26°, intensity 35.8, (2 1 2)
2θ = 30.83°, intensity 38.2, (2 2 1)
2θ = 31.16°, intensity 28.6, (0 2 3)

Structure:
a b c (Å): 7.6287 9.8479 10.5972
angles (deg): 90.00 90.00 90.00
Space group P2_12_12_1 (No. 19)
Asymmetric unit:
Li 0.0689 0.0260 0.0148 x4
Li 0.0978 0.8014 0.8079 x4
Li 0.1495 0.6922 0.3160 x4
P 0.0335 0.9295 0.2342 x4
P 0.0338 0.9435 0.5651 x4
P 0.0939 0.6348 0.0057 x4
P 0.1287 0.2820 0.0054 x4
P 0.1376 0.0485 0.3874 x4
P 0.1837 0.4270 0.6187 x4
P 0.2192 0.3755 0.1812 x4

***

# 2
# LiP
Calculated PXRD pattern, λ = 1.5418 Å (Cu Kα). Input: a crystal structure in the Materials Project, relaxed with PBE.
Peak positions follow from Bragg's law for the DFT cell and can differ from measured ones.

Largest 6 diffraction maxima, low angle first, 15° ≤ 2θ ≤ 90°:
2θ = 17.99°, intensity 65.9, (1 0 0)
2θ = 23.99°, intensity 99.5, (1 1 -1)
2θ = 26.47°, intensity 74.6, (1 1 -2)
2θ = 26.66°, intensity 100.0, (0 1 2)
2θ = 30.31°, intensity 65.0, (1 1 1)
2θ = 36.43°, intensity 62.7, (2 0 0)

Structure:
a b c (Å): 5.5939 4.9704 10.2508
angles (deg): 90.00 118.16 90.00
Space group P2_1/c (No. 14)
Asymmetric unit:
Li 0.2170 0.1118 0.3293 x4
Li 0.2258 0.6583 0.5298 x4
P 0.3032 0.1560 0.6117 x4
P 0.3166 0.6051 0.2929 x4

***

# 3
# Li7P3S11
Calculated PXRD pattern, λ = 1.5418 Å (Cu Kα). Input: a crystal structure in the Materials Project, relaxed with PBE.
Peak positions follow from Bragg's law for the DFT cell and can differ from measured ones.

Largest 6 diffraction maxima, low angle first, 15° ≤ 2θ ≤ 90°:
2θ = 17.39°, intensity 62.4, (0 2 -2)
2θ = 18.07°, intensity 54.7, (1 0 -2)
2θ = 23.21°, intensity 70.0, (0 3 0)
2θ = 28.89°, intensity 94.5, (-2 1 1)
2θ = 29.20°, intensity 100.0, (0 4 -2)
2θ = 29.33°, intensity 80.8, (1 1 -4)

Structure:
a b c (Å): 6.1888 12.6279 12.6731
angles (deg): 107.48 103.55 101.86
Space group P-1 (No. 2)
Asymmetric unit:
Li 0.0141 0.3190 0.3200 x2
Li 0.1373 0.6173 0.8872 x2
Li 0.2135 0.0356 0.7542 x2
Li 0.2645 0.3317 0.8961 x2
Li 0.3036 0.8213 0.2945 x2
Li 0.3765 0.6568 0.4923 x2
Li 0.4234 0.1353 0.1213 x2
P 0.1233 0.8329 0.0560 x2
P 0.1695 0.2115 0.5456 x2
P 0.4882 0.5245 0.7224 x2
S 0.0922 0.1836 0.6828 x2
S 0.1054 0.8368 0.6013 x2
S 0.1447 0.6829 0.0874 x2
S 0.1723 0.8233 0.8990 x2
S 0.2038 0.5021 0.2950 x2
S 0.2055 0.1543 0.9487 x2
S 0.2190 0.3957 0.5688 x2
S 0.3638 0.9712 0.1965 x2
S 0.4295 0.6686 0.6929 x2
S 0.4382 0.5184 0.8722 x2
S 0.4440 0.1598 0.5170 x2

***

# 4
# Li10SiP2S12
Calculated PXRD pattern, λ = 1.5418 Å (Cu Kα). Input: a crystal structure in the Materials Project, relaxed with PBE.
Peak positions follow from Bragg's law for the DFT cell and can differ from measured ones.

Largest 6 diffraction maxima, low angle first, 15° ≤ 2θ ≤ 90°:
2θ = 20.08°, intensity 34.4, (1 1 2)
2θ = 23.75°, intensity 27.7, (2 1 1)
2θ = 26.76°, intensity 18.6, (2 1 2)
2θ = 29.42°, intensity 100.0, (2 0 3)
2θ = 41.17°, intensity 25.3, (4 0 0)
2θ = 47.18°, intensity 26.0, (3 2 4)

Structure:
a b c (Å): 8.7709 8.7709 12.6190
angles (deg): 90.00 90.00 90.00
Space group P4_2mc (No. 105)
Asymmetric unit:
Li 0.0000 0.0000 0.0000 x2
Li 0.2249 0.2428 0.4882 x8
Li 0.2265 0.2691 0.7469 x8
Li 0.5000 0.5000 0.3913 x2
Si 0.0000 0.0000 0.2531 x2
P 0.0000 0.5000 0.9555 x2
P 0.5000 0.5000 0.1378 x2
S 0.0000 0.1989 0.6541 x4
S 0.0000 0.2015 0.3516 x4
S 0.0000 0.3097 0.0490 x4
S 0.1947 0.5000 0.8631 x4
S 0.3040 0.5000 0.5458 x4
S 0.3074 0.5000 0.2292 x4